(1)
This entry pairs a crystal structure of Ce2In8Pd with its simulated powder diffractogram. Radiation: copper Kα. Structure: a DFT-relaxed cell (PBE, the Materials Project).
No peak broadening, texture or thermal motion is included.

Principal peaks in the range 5 to 70 degrees two-theta, by intensity:
2theta	I/Imax
34.7	100
38.0	53
66.6	31
30.5	28
54.0	19
54.9	18
36.8	15
67.5	13
67.9	10
40.0	8

Crystal structure
abc: 4.7329 4.7329 12.1991
angles: 90.00 90.00 90.00
Fractional positions:
Ce  0.0000  0.0000  0.1915
Ce  0.0000  0.0000  0.8085
In  0.0000  0.5000  0.0000
In  0.0000  0.5000  0.3751
In  0.0000  0.5000  0.6249
In  0.5000  0.0000  0.0000
In  0.5000  0.0000  0.3751
In  0.5000  0.0000  0.6249
In  0.5000  0.5000  0.1916
In  0.5000  0.5000  0.8084
Pd  0.0000  0.0000  0.5000



(2)
This entry pairs a crystal structure of La5Ga4SnSb10 with its simulated powder diffractogram. Radiation: copper Kα. Structure: a DFT-relaxed cell (PBE, the Materials Project).
No peak broadening, texture or thermal motion is included.

Principal peaks in the range 5 to 70 degrees two-theta, by intensity:
2theta	I/Imax
30.6	100
34.4	51
30.6	37
33.8	33
30.9	28
67.6	27
47.1	22
25.2	21
40.5	18
40.4	14

Crystal structure
abc: 4.4685 11.7809 22.2612
angles: 100.91 90.05 90.14
Fractional positions:
La  0.0000  0.0000  0.0000
La  0.0004  0.0048  0.8004
La  0.4956  0.4429  0.7439
La  0.4964  0.4476  0.9448
La  0.4976  0.4478  0.1437
La  0.4994  0.4415  0.5414
La  0.5002  0.4464  0.3418
La  0.9961  0.0003  0.3972
La  0.9966  0.0053  0.5980
La  0.9988  0.9992  0.1988
Ga  0.2482  0.7234  0.2021
Ga  0.2481  0.7234  0.3988
Ga  0.2478  0.7236  0.0037
Ga  0.2480  0.7235  0.6106
Ga  0.2481  0.7235  0.8150
Ga  0.7473  0.7235  0.1403
Ga  0.7477  0.7235  0.3386
Ga  0.7478  0.7237  0.9431
Sn  0.7478  0.7235  0.5375
Sn  0.7479  0.7236  0.7409
Sb  0.9996  0.5453  0.2537
Sb  0.0039  0.5345  0.6507
Sb  0.0040  0.5356  0.4507
Sb  0.4924  0.9115  0.4884
Sb  0.4922  0.9126  0.6887
Sb  0.4969  0.9019  0.2894
Sb  0.4978  0.9021  0.0890
Sb  0.5011  0.2235  0.0217
Sb  0.5015  0.2252  0.8225
Sb  0.5006  0.9062  0.8896
Sb  0.5027  0.2231  0.2210
Sb  0.5034  0.2247  0.6216
Sb  0.5038  0.2229  0.4203
Sb  0.9915  0.2223  0.5206
Sb  0.9926  0.2235  0.3212
Sb  0.9937  0.2231  0.7216
Sb  0.9944  0.2235  0.1216
Sb  0.9954  0.2241  0.9222
Sb  0.9955  0.5409  0.8531
Sb  0.9985  0.5451  0.0532



(3)
This entry pairs a crystal structure of Eu2AlNO3 with its simulated powder diffractogram. Radiation: copper Kα. Structure: a DFT-relaxed cell (PBE, the Materials Project).
No peak broadening, texture or thermal motion is included.

Principal peaks in the range 5 to 70 degrees two-theta, by intensity:
2theta	I/Imax
32.2	100
33.9	64
24.9	54
45.0	45
59.7	36
48.7	32
28.7	23
57.4	18
43.7	18
67.5	15

Crystal structure
abc: 3.7362 3.7362 12.4464
angles: 90.00 90.00 90.00
Fractional positions:
Eu  0.0000  0.0000  0.0000
Eu  0.0000  0.0000  0.2870
Eu  0.5000  0.5000  0.5000
Eu  0.5000  0.5000  0.7870
Al  0.0000  0.0000  0.6451
Al  0.5000  0.5000  0.1451
N  0.0000  0.0000  0.4766
N  0.5000  0.5000  0.9766
O  0.0000  0.0000  0.8083
O  0.0000  0.5000  0.1464
O  0.0000  0.5000  0.6464
O  0.5000  0.0000  0.1464
O  0.5000  0.0000  0.6464
O  0.5000  0.5000  0.3083



(4)
This entry pairs a crystal structure of Er5Mg24 with its simulated powder diffractogram. Radiation: copper Kα. Structure: a DFT-relaxed cell (PBE, the Materials Project).
No peak broadening, texture or thermal motion is included.

Principal peaks in the range 5 to 70 degrees two-theta, by intensity:
2theta	I/Imax
33.9	100
19.4	38
11.1	28
29.8	28
60.6	25
50.1	21
22.4	18
39.3	13
58.1	11
48.6	10

Crystal structure
abc: 9.7255 9.7255 9.7255
angles: 109.47 109.47 109.47
Fractional positions:
Er  0.0000  0.0000  0.0000
Er  0.0000  0.0000  0.3729
Er  0.0000  0.3729  0.0000
Er  0.3729  0.0000  0.0000
Er  0.6271  0.6271  0.6271
Mg  0.0000  0.3233  0.6106
Mg  0.0000  0.6106  0.3233
Mg  0.0000  0.6289  0.8094
Mg  0.0000  0.8094  0.6289
Mg  0.1804  0.3711  0.3711
Mg  0.1906  0.1906  0.8196
Mg  0.1906  0.8196  0.1906
Mg  0.2874  0.6767  0.6767
Mg  0.3233  0.0000  0.6106
Mg  0.3233  0.6106  0.0000
Mg  0.3711  0.1804  0.3711
Mg  0.3711  0.3711  0.1804
Mg  0.3894  0.3894  0.7126
Mg  0.3894  0.7126  0.3894
Mg  0.6106  0.0000  0.3233
Mg  0.6106  0.3233  0.0000
Mg  0.6289  0.0000  0.8094
Mg  0.6289  0.8094  0.0000
Mg  0.6767  0.2874  0.6767
Mg  0.6767  0.6767  0.2874
Mg  0.7126  0.3894  0.3894
Mg  0.8094  0.0000  0.6289
Mg  0.8094  0.6289  0.0000
Mg  0.8196  0.1906  0.1906



(5)
This entry pairs a crystal structure of Mg2CdAg with its simulated powder diffractogram. Radiation: copper Kα. Structure: a DFT-relaxed cell (PBE, the Materials Project).
No peak broadening, texture or thermal motion is included.

Principal peaks in the range 5 to 70 degrees two-theta, by intensity:
2theta	I/Imax
37.3	100
26.1	51
67.2	33
60.7	18
53.7	17
46.1	14

Crystal structure
abc: 6.8264 6.8264 6.8264
angles: 90.00 90.00 90.00
Fractional positions:
Mg  0.2500  0.2500  0.2500
Mg  0.2500  0.2500  0.7500
Mg  0.2500  0.7500  0.2500
Mg  0.2500  0.7500  0.7500
Mg  0.7500  0.2500  0.2500
Mg  0.7500  0.2500  0.7500
Mg  0.7500  0.7500  0.2500
Mg  0.7500  0.7500  0.7500
Cd  0.0000  0.0000  0.0000
Cd  0.0000  0.5000  0.5000
Cd  0.5000  0.0000  0.5000
Cd  0.5000  0.5000  0.0000
Ag  0.0000  0.0000  0.5000
Ag  0.0000  0.5000  0.0000
Ag  0.5000  0.0000  0.0000
Ag  0.5000  0.5000  0.5000



(6)
This entry pairs a crystal structure of Cs2ZnFeC6N6 with its simulated powder diffractogram. Radiation: copper Kα. Structure: a DFT-relaxed cell (PBE, the Materials Project).
No peak broadening, texture or thermal motion is included.

Principal peaks in the range 5 to 70 degrees two-theta, by intensity:
2theta	I/Imax
24.1	100
34.3	37
42.4	36
55.6	25
67.0	24
49.3	21
29.6	18
61.5	6
38.5	5
58.6	4

Crystal structure
abc: 7.3909 7.3909 7.3909
angles: 60.00 60.00 60.00
Fractional positions:
Cs  0.2500  0.2500  0.2500
Cs  0.7500  0.7500  0.7500
Zn  0.0000  0.0000  0.0000
Fe  0.5000  0.5000  0.5000
C  0.3198  0.3198  0.6802
C  0.3198  0.6802  0.3198
C  0.3198  0.6802  0.6802
C  0.6802  0.3198  0.3198
C  0.6802  0.3198  0.6802
C  0.6802  0.6802  0.3198
N  0.2068  0.2068  0.7932
N  0.2068  0.7932  0.2068
N  0.2068  0.7932  0.7932
N  0.7932  0.2068  0.2068
N  0.7932  0.2068  0.7932
N  0.7932  0.7932  0.2068



(7)
This entry pairs a crystal structure of CsTi2P3O10F4 with its simulated powder diffractogram. Radiation: copper Kα. Structure: a DFT-relaxed cell (PBE, the Materials Project).
No peak broadening, texture or thermal motion is included.

Principal peaks in the range 5 to 70 degrees two-theta, by intensity:
2theta	I/Imax
23.6	100
18.5	80
22.9	80
22.4	73
24.6	72
25.8	50
23.7	48
28.8	45
31.8	36
27.4	33

Crystal structure
abc: 8.4341 8.6450 8.9902
angles: 90.00 97.02 90.00
Fractional positions:
Cs  0.0000  0.1016  0.2500
Cs  0.0000  0.8984  0.7500
Ti  0.3395  0.2465  0.9539
Ti  0.3395  0.7535  0.4539
Ti  0.6605  0.2465  0.5461
Ti  0.6605  0.7535  0.0461
P  0.2996  0.3997  0.6027
P  0.2996  0.6003  0.1027
P  0.5000  0.0310  0.2500
P  0.5000  0.9690  0.7500
P  0.7004  0.3997  0.8973
P  0.7004  0.6003  0.3973
O  0.2879  0.4287  0.0680
O  0.2879  0.5713  0.5680
O  0.2887  0.3691  0.7674
O  0.2887  0.6309  0.2674
O  0.3877  0.0687  0.8333
O  0.3877  0.9313  0.3333
O  0.3924  0.1331  0.1387
O  0.3924  0.8669  0.6387
O  0.4352  0.3171  0.5392
O  0.4352  0.6829  0.0392
O  0.5648  0.3171  0.9608
O  0.5648  0.6829  0.4608
O  0.6076  0.1331  0.3613
O  0.6076  0.8669  0.8613
O  0.6123  0.0687  0.6667
O  0.6123  0.9313  0.1667
O  0.7113  0.3691  0.7326
O  0.7113  0.6309  0.2326
O  0.7121  0.4287  0.4320
O  0.7121  0.5713  0.9320
F  0.1302  0.1825  0.9414
F  0.1302  0.8175  0.4414
F  0.1440  0.3268  0.5149
F  0.1440  0.6732  0.0149
F  0.8560  0.3268  0.9851
F  0.8560  0.6732  0.4851
F  0.8698  0.1825  0.5586
F  0.8698  0.8175  0.0586



Which formula does entry 5 have? Mg2CdAg